1.
Starting from a DFT-relaxed cell (PBE, OQMD), the powder XRD pattern of BeWN2 was calculated for CuKα.

Most intense lines, 2θ from 10° to 90°, by intensity:
d [Å], intensity
3.924, 100
2.339, 50
3.902, 31
2.537, 25
1.908, 20
2.117, 20
1.525, 18
2.252, 17
2.514, 16
2.127, 16

Cell and atoms:
```
BeWN2
1.0
5.0276 0.0000 0.0000
0.0000 6.1885 0.0000
0.0000 0.0000 5.0737
Be W N
4 4 8
Direct
0.0893 0.1228 0.0000 Be
0.4107 0.6228 0.5000 Be
0.5893 0.3772 0.0000 Be
0.9107 0.8772 0.5000 Be
0.0628 0.6626 0.0293 W
0.4372 0.1626 0.5293 W
0.5628 0.8374 0.0293 W
0.9372 0.3374 0.5293 W
0.0665 0.6338 0.4079 N
0.0795 0.0838 0.3390 N
0.4205 0.5838 0.8390 N
0.4335 0.1338 0.9079 N
0.5665 0.8662 0.4079 N
0.5795 0.4162 0.3390 N
0.9205 0.9162 0.8390 N
0.9335 0.3662 0.9079 N
```

---

2.
Starting from a DFT-relaxed cell (PBE, OQMD), the powder XRD pattern of Be13Nb5 was calculated for CuKα.

Most intense lines, 2θ from 10° to 90°, by intensity:
d [Å], intensity
3.153, 100
2.045, 98
3.298, 95
2.616, 50
2.935, 28
1.593, 26
1.626, 23
1.823, 23
1.869, 20
1.846, 19

Cell and atoms:
```
Be13Nb5
1.0
1.8688 -14.6734 0.0000
1.8688 14.6734 0.0000
0.0000 0.0000 3.6916
Be Nb
13 5
Direct
0.0000 0.0000 0.0000 Be
0.0528 0.9472 0.5000 Be
0.1613 0.8387 0.5000 Be
0.2044 0.7956 0.0000 Be
0.3399 0.6601 0.0000 Be
0.3952 0.6048 0.5000 Be
0.4466 0.5534 0.0000 Be
0.5534 0.4466 0.0000 Be
0.6048 0.3952 0.5000 Be
0.6601 0.3399 0.0000 Be
0.7956 0.2044 0.0000 Be
0.8387 0.1613 0.5000 Be
0.9472 0.0528 0.5000 Be
0.1067 0.8933 0.0000 Nb
0.2818 0.7182 0.5000 Nb
0.5000 0.5000 0.5000 Nb
0.7182 0.2818 0.5000 Nb
0.8933 0.1067 0.0000 Nb
```

---

3.
Starting from a DFT-relaxed cell (PBE, OQMD), the powder XRD pattern of BeNbPb was calculated for CuKα.

Most intense lines, 2θ from 10° to 90°, by intensity:
d [Å], intensity
3.700, 100
2.266, 80
1.932, 52
1.308, 28
1.470, 22
1.233, 16
3.205, 14
1.602, 14
1.133, 9
1.433, 6

Cell and atoms:
```
BeNbPb
1.0
6.4093 0.0000 0.0000
0.0000 6.4093 0.0000
0.0000 0.0000 6.4093
Be Nb Pb
4 4 4
Direct
0.0000 0.0000 0.0000 Be
0.0000 0.5000 0.5000 Be
0.5000 0.0000 0.5000 Be
0.5000 0.5000 0.0000 Be
0.2500 0.2500 0.2500 Nb
0.2500 0.7500 0.7500 Nb
0.7500 0.2500 0.7500 Nb
0.7500 0.7500 0.2500 Nb
0.0000 0.0000 0.5000 Pb
0.0000 0.5000 0.0000 Pb
0.5000 0.0000 0.0000 Pb
0.5000 0.5000 0.5000 Pb
```

---

4.
Starting from a DFT-relaxed cell (PBE, OQMD), the powder XRD pattern of Be2NbTc2 was calculated for CuKα.

Most intense lines, 2θ from 10° to 90°, by intensity:
d [Å], intensity
2.224, 100
2.097, 64
2.812, 60
2.568, 42
1.989, 42
1.373, 32
1.341, 26
1.234, 17
1.525, 15
1.095, 15

Cell and atoms:
```
Be2NbTc2
1.0
6.2885 0.0000 0.0000
0.0000 6.2885 0.0000
0.0000 0.0000 3.1461
Be Nb Tc
4 2 4
Direct
0.1161 0.3839 0.0000 Be
0.3839 0.8839 0.0000 Be
0.6161 0.1161 0.0000 Be
0.8839 0.6161 0.0000 Be
0.0000 0.0000 0.0000 Nb
0.5000 0.5000 0.0000 Nb
0.1755 0.6755 0.5000 Tc
0.3245 0.1755 0.5000 Tc
0.6755 0.8245 0.5000 Tc
0.8245 0.3245 0.5000 Tc
```

---

5.
Starting from a DFT-relaxed cell (PBE, OQMD), the powder XRD pattern of NdBeO3 was calculated for CuKα.

Most intense lines, 2θ from 10° to 90°, by intensity:
d [Å], intensity
4.020, 100
2.963, 76
2.736, 38
1.858, 38
2.262, 32
1.743, 26
1.620, 20
2.010, 18
1.762, 16
1.580, 14

Cell and atoms:
```
NdBeO3
1.0
2.7359 1.5796 5.0631
-2.7359 1.5796 5.0631
0.0000 -3.1592 5.0631
Nd Be O
2 2 6
Direct
0.0000 0.0000 0.0000 Nd
0.5000 0.5000 0.5000 Nd
0.2500 0.2500 0.2500 Be
0.7500 0.7500 0.7500 Be
0.0310 0.7500 0.4690 O
0.2500 0.5310 0.9690 O
0.4690 0.0310 0.7500 O
0.5310 0.9690 0.2500 O
0.7500 0.4690 0.0310 O
0.9690 0.2500 0.5310 O
```

---

6.
Starting from a DFT-relaxed cell (PBE, OQMD), the powder XRD pattern of RbNdBeS3 was calculated for CuKα.

Most intense lines, 2θ from 10° to 90°, by intensity:
d [Å], intensity
4.366, 100
3.105, 49
7.363, 43
2.985, 42
2.220, 32
2.183, 31
2.174, 30
2.695, 26
3.681, 25
3.869, 24

Cell and atoms:
```
RbNdBeS3
1.0
2.0047 -7.3627 0.0000
2.0047 7.3627 0.0000
0.0000 0.0000 10.8438
Rb Nd Be S
2 2 2 6
Direct
0.2415 0.7585 0.7500 Rb
0.7585 0.2415 0.2500 Rb
0.5000 0.5000 0.0000 Nd
0.5000 0.5000 0.5000 Nd
0.0400 0.9600 0.2500 Be
0.9600 0.0400 0.7500 Be
0.1168 0.8832 0.0885 S
0.1168 0.8832 0.4115 S
0.4490 0.5510 0.2500 S
0.5510 0.4490 0.7500 S
0.8832 0.1168 0.5885 S
0.8832 0.1168 0.9115 S
```

---

7.
Starting from a DFT-relaxed cell (PBE, OQMD), the powder XRD pattern of NdBeTl was calculated for CuKα.

Most intense lines, 2θ from 10° to 90°, by intensity:
d [Å], intensity
3.288, 100
2.325, 84
1.471, 38
1.342, 30
1.898, 29
1.096, 19
1.644, 15
1.163, 10
3.797, 5
1.983, 3

Cell and atoms:
```
NdBeTl
1.0
6.5763 0.0000 0.0000
0.0000 6.5763 0.0000
0.0000 0.0000 6.5763
Nd Be Tl
4 4 4
Direct
0.0000 0.0000 0.0000 Nd
0.0000 0.5000 0.5000 Nd
0.5000 0.0000 0.5000 Nd
0.5000 0.5000 0.0000 Nd
0.2500 0.2500 0.2500 Be
0.2500 0.7500 0.7500 Be
0.7500 0.2500 0.7500 Be
0.7500 0.7500 0.2500 Be
0.0000 0.0000 0.5000 Tl
0.0000 0.5000 0.0000 Tl
0.5000 0.0000 0.0000 Tl
0.5000 0.5000 0.5000 Tl
```

---

8.
Starting from a DFT-relaxed cell (PBE, OQMD), the powder XRD pattern of Be9Ni7 was calculated for CuKα.

Most intense lines, 2θ from 10° to 90°, by intensity:
d [Å], intensity
1.836, 100
2.596, 97
1.161, 26
1.499, 22
1.298, 15
5.192, 11
3.671, 10
2.322, 6
2.120, 4
2.997, 4

Cell and atoms:
```
Be9Ni7
1.0
5.1917 0.0000 0.0000
0.0000 5.1917 0.0000
0.0000 0.0000 5.1917
Be Ni
9 7
Direct
0.0000 0.0000 0.0000 Be
0.2487 0.2487 0.2487 Be
0.2487 0.2487 0.7513 Be
0.2487 0.7513 0.2487 Be
0.2487 0.7513 0.7513 Be
0.7513 0.2487 0.2487 Be
0.7513 0.2487 0.7513 Be
0.7513 0.7513 0.2487 Be
0.7513 0.7513 0.7513 Be
0.0000 0.0000 0.5000 Ni
0.0000 0.5000 0.0000 Ni
0.0000 0.5000 0.5000 Ni
0.5000 0.0000 0.0000 Ni
0.5000 0.0000 0.5000 Ni
0.5000 0.5000 0.0000 Ni
0.5000 0.5000 0.5000 Ni
```

---

9.
Starting from a DFT-relaxed cell (PBE, OQMD), the powder XRD pattern of ZrBeNiPb was calculated for CuKα.

Most intense lines, 2θ from 10° to 90°, by intensity:
d [Å], intensity
2.260, 100
3.196, 48
1.305, 34
3.691, 27
1.429, 19
1.598, 17
1.928, 15
1.845, 14
1.130, 11
1.467, 6

Cell and atoms:
```
ZrBeNiPb
1.0
6.3929 0.0000 0.0000
0.0000 6.3929 0.0000
0.0000 0.0000 6.3929
Zr Be Ni Pb
4 4 4 4
Direct
0.0000 0.0000 0.0000 Zr
0.0000 0.5000 0.5000 Zr
0.5000 0.0000 0.5000 Zr
0.5000 0.5000 0.0000 Zr
0.2500 0.2500 0.2500 Be
0.2500 0.7500 0.7500 Be
0.7500 0.2500 0.7500 Be
0.7500 0.7500 0.2500 Be
0.2500 0.2500 0.7500 Ni
0.2500 0.7500 0.2500 Ni
0.7500 0.2500 0.2500 Ni
0.7500 0.7500 0.7500 Ni
0.0000 0.0000 0.5000 Pb
0.0000 0.5000 0.0000 Pb
0.5000 0.0000 0.0000 Pb
0.5000 0.5000 0.5000 Pb
```

---

10.
Starting from a DFT-relaxed cell (PBE, OQMD), the powder XRD pattern of BeNiPd was calculated for CuKα.

Most intense lines, 2θ from 10° to 90°, by intensity:
d [Å], intensity
2.024, 100
2.585, 67
1.904, 47
1.121, 28
1.195, 22
2.301, 22
1.467, 20
4.603, 17
1.347, 14
1.182, 11

Cell and atoms:
```
BeNiPd
1.0
2.6933 0.0000 0.0000
0.0000 2.6933 0.0000
0.0000 0.0000 9.2054
Be Ni Pd
2 2 2
Direct
0.0000 0.0000 0.0000 Be
0.5000 0.5000 0.5000 Be
0.0000 0.0000 0.3636 Ni
0.0000 0.0000 0.6364 Ni
0.5000 0.5000 0.1585 Pd
0.5000 0.5000 0.8415 Pd
```

---

11.
Starting from a DFT-relaxed cell (PBE, OQMD), the powder XRD pattern of SmBeNiPt3 was calculated for CuKα.

Most intense lines, 2θ from 10° to 90°, by intensity:
d [Å], intensity
2.345, 100
2.985, 79
2.219, 61
2.006, 57
1.492, 50
3.869, 32
1.109, 26
1.612, 25
1.935, 25
1.354, 23

Cell and atoms:
```
SmBeNiPt3
1.0
5.4158 0.0000 0.0000
-2.7079 4.6903 0.0000
0.0000 0.0000 3.8695
Sm Be Ni Pt
1 1 1 3
Direct
0.0000 0.0000 0.0000 Sm
0.3333 0.6667 0.0000 Be
0.6667 0.3333 0.0000 Ni
0.0047 0.5023 0.5000 Pt
0.4977 0.5023 0.5000 Pt
0.4977 0.9953 0.5000 Pt
```

---

12.
Starting from a DFT-relaxed cell (PBE, OQMD), the powder XRD pattern of Be2SiNi3 was calculated for CuKα.

Most intense lines, 2θ from 10° to 90°, by intensity:
d [Å], intensity
1.896, 100
2.682, 64
1.095, 31
1.199, 17
1.341, 15
1.548, 14
3.284, 2
4.647, 1

Cell and atoms:
```
Be2SiNi3
1.0
3.7918 0.0000 0.0000
-1.8959 3.2838 0.0000
0.0000 0.0000 4.6467
Be Si Ni
2 1 3
Direct
0.3333 0.6667 0.1592 Be
0.6667 0.3333 0.8408 Be
0.0000 0.0000 0.5000 Si
0.0000 0.0000 0.0000 Ni
0.3333 0.6667 0.6717 Ni
0.6667 0.3333 0.3283 Ni
```